(1)
CaSc5: theoretical powder XRD pattern (Cu Kα X-rays), based on a structure optimized by DFT (GGA-PBE).
No peak broadening, texture or thermal motion is included.

Main lines, most intense first (5 to 70 degrees two-theta):
2θ = 35.06°, rel. 100; 2θ = 34.65°, rel. 54; 2θ = 33.48°, rel. 40; 2θ = 30.69°, rel. 27; 2θ = 65.02°, rel. 17; 2θ = 60.88°, rel. 17; 2θ = 53.97°, rel. 16; 2θ = 46.05°, rel. 16; 2θ = 66.52°, rel. 13; 2θ = 30.22°, rel. 11

Structural model:
a b c (Å): 5.3534 9.0288 9.0288
angles (deg): 21.37 90.00 90.00
Fractional coordinates of all 6 atoms:
Ca1 0.0000 0.0000 0.0000
Sc1 0.0000 0.3272 0.3272
Sc2 0.0000 0.6739 0.6739
Sc3 0.5000 0.2251 0.2251
Sc4 0.5000 0.5647 0.5647
Sc5 0.5000 0.8855 0.8855

(2)
CaSc2Se: theoretical powder XRD pattern (Cu Kα X-rays), based on a structure optimized by DFT (GGA-PBE).
No peak broadening, texture or thermal motion is included.

Main lines, most intense first (5 to 70 degrees two-theta):
2θ = 35.14°, rel. 100; 2θ = 34.63°, rel. 31; 2θ = 18.93°, rel. 26; 2θ = 32.48°, rel. 19; 2θ = 62.38°, rel. 17; 2θ = 35.59°, rel. 15; 2θ = 48.21°, rel. 12; 2θ = 50.50°, rel. 11; 2θ = 16.08°, rel. 10; 2θ = 44.66°, rel. 10

Structural model:
a b c (Å): 6.3333 6.3333 6.3333
angles (deg): 148.22 131.71 58.97
Fractional coordinates of all 4 atoms:
Ca1 0.0000 0.0000 0.0000
Sc1 0.2988 0.7988 0.5000
Sc2 0.7012 0.2012 0.5000
Se1 0.5000 0.5000 0.0000

(3)
CaSc4Se5: theoretical powder XRD pattern (Cu Kα X-rays), based on a structure optimized by DFT (GGA-PBE).
No peak broadening, texture or thermal motion is included.

Main lines, most intense first (5 to 70 degrees two-theta):
2θ = 32.22°, rel. 100; 2θ = 46.06°, rel. 51; 2θ = 32.11°, rel. 51; 2θ = 46.18°, rel. 34; 2θ = 57.53°, rel. 18; 2θ = 46.38°, rel. 18; 2θ = 27.84°, rel. 12; 2θ = 27.71°, rel. 12; 2θ = 67.41°, rel. 10; 2θ = 57.13°, rel. 9

Structural model:
a b c (Å): 6.8342 6.8342 9.6431
angles (deg): 118.13 118.13 33.29
Fractional coordinates of all 10 atoms:
Ca1 0.0000 0.0000 0.0000
Sc1 0.1949 0.1949 0.7820
Sc2 0.4066 0.4066 0.5955
Sc3 0.5934 0.5934 0.4045
Sc4 0.8051 0.8051 0.2180
Se1 0.0000 0.0000 0.5000
Se2 0.2012 0.2012 0.3109
Se3 0.3900 0.3900 0.1020
Se4 0.6100 0.6100 0.8980
Se5 0.7988 0.7988 0.6891

(4)
CaTb4ScSe8: theoretical powder XRD pattern (Cu Kα X-rays), based on a structure optimized by DFT (GGA-PBE).
No peak broadening, texture or thermal motion is included.

Main lines, most intense first (5 to 70 degrees two-theta):
2θ = 30.07°, rel. 100; 2θ = 42.72°, rel. 73; 2θ = 43.35°, rel. 73; 2θ = 24.68°, rel. 60; 2θ = 24.81°, rel. 39; 2θ = 39.36°, rel. 30; 2θ = 21.28°, rel. 27; 2θ = 13.08°, rel. 27; 2θ = 62.50°, rel. 22; 2θ = 25.06°, rel. 21

Structural model:
a b c (Å): 8.3504 8.3504 8.3504
angles (deg): 60.92 60.92 60.92
Fractional coordinates of all 14 atoms:
Ca1 0.0000 0.0000 0.0000
Tb1 0.3759 0.3759 0.8849
Tb2 0.3759 0.8849 0.3759
Tb3 0.7558 0.7558 0.7558
Tb4 0.8849 0.3759 0.3759
Sc1 0.3756 0.3756 0.3756
Se1 0.1368 0.1368 0.1368
Se2 0.1456 0.1456 0.5954
Se3 0.1456 0.5954 0.1456
Se4 0.1561 0.6132 0.6132
Se5 0.5954 0.1456 0.1456
Se6 0.6132 0.1561 0.6132
Se7 0.6132 0.6132 0.1561
Se8 0.6212 0.6212 0.6212

(5)
CaSc2Si2: theoretical powder XRD pattern (Cu Kα X-rays), based on a structure optimized by DFT (GGA-PBE).
No peak broadening, texture or thermal motion is included.

Main lines, most intense first (5 to 70 degrees two-theta):
2θ = 32.59°, rel. 100; 2θ = 40.94°, rel. 43; 2θ = 30.71°, rel. 33; 2θ = 43.99°, rel. 21; 2θ = 42.51°, rel. 21; 2θ = 69.30°, rel. 18; 2θ = 52.04°, rel. 17; 2θ = 61.66°, rel. 14; 2θ = 59.28°, rel. 13; 2θ = 15.23°, rel. 9

Structural model:
a b c (Å): 6.5998 6.5998 6.5998
angles (deg): 140.97 140.97 56.38
Fractional coordinates of all 5 atoms:
Ca1 0.0000 0.0000 0.0000
Sc1 0.2500 0.7500 0.5000
Sc2 0.7500 0.2500 0.5000
Si1 0.3943 0.3943 0.0000
Si2 0.6057 0.6057 0.0000

(6)
SrCa2Sc: theoretical powder XRD pattern (Cu Kα X-rays), based on a structure optimized by DFT (GGA-PBE).
No peak broadening, texture or thermal motion is included.

Main lines, most intense first (5 to 70 degrees two-theta):
2θ = 30.06°, rel. 100; 2θ = 28.93°, rel. 28; 2θ = 29.06°, rel. 26; 2θ = 51.98°, rel. 20; 2θ = 41.47°, rel. 19; 2θ = 54.03°, rel. 17; 2θ = 52.15°, rel. 16; 2θ = 62.49°, rel. 10; 2θ = 16.07°, rel. 9; 2θ = 44.55°, rel. 8

Structural model:
a b c (Å): 7.1707 7.1707 7.1707
angles (deg): 147.05 129.01 62.06
Fractional coordinates of all 4 atoms:
Sr1 0.0000 0.0000 0.0000
Ca1 0.2693 0.7693 0.5000
Ca2 0.5294 0.5294 0.0000
Sc1 0.7564 0.2564 0.5000

(7)
Ca2ScTl3: theoretical powder XRD pattern (Cu Kα X-rays), based on a structure optimized by DFT (GGA-PBE).
No peak broadening, texture or thermal motion is included.

Main lines, most intense first (5 to 70 degrees two-theta):
2θ = 33.63°, rel. 100; 2θ = 33.08°, rel. 54; 2θ = 23.23°, rel. 53; 2θ = 59.44°, rel. 38; 2θ = 41.27°, rel. 24; 2θ = 23.99°, rel. 23; 2θ = 47.48°, rel. 19; 2θ = 60.50°, rel. 16; 2θ = 53.50°, rel. 12; 2θ = 53.88°, rel. 11

Structural model:
a b c (Å): 8.5663 8.5663 7.4199
angles (deg): 90.00 90.00 143.16
Fractional coordinates of all 12 atoms:
Ca1 0.0000 0.0000 0.0000
Ca2 0.0000 0.0000 0.5000
Ca3 0.3364 0.6636 0.0000
Ca4 0.6636 0.3364 0.0000
Sc1 0.3355 0.6645 0.5000
Sc2 0.6645 0.3355 0.5000
Tl1 0.1716 0.8284 0.2673
Tl2 0.1716 0.8284 0.7327
Tl3 0.5000 0.5000 0.2644
Tl4 0.5000 0.5000 0.7356
Tl5 0.8284 0.1716 0.2673
Tl6 0.8284 0.1716 0.7327

(8)
CaZr2Sc: theoretical powder XRD pattern (Cu Kα X-rays), based on a structure optimized by DFT (GGA-PBE).
No peak broadening, texture or thermal motion is included.

Main lines, most intense first (5 to 70 degrees two-theta):
2θ = 33.17°, rel. 100; 2θ = 33.36°, rel. 98; 2θ = 39.49°, rel. 61; 2θ = 55.05°, rel. 44; 2θ = 36.77°, rel. 37; 2θ = 18.15°, rel. 29; 2θ = 67.51°, rel. 23; 2θ = 67.86°, rel. 23; 2θ = 63.95°, rel. 14; 2θ = 64.07°, rel. 14

Structural model:
a b c (Å): 5.8650 5.8650 3.2142
angles (deg): 90.00 90.00 112.92
Fractional coordinates of all 4 atoms:
Ca1 0.0000 0.0000 0.0000
Zr1 0.0000 0.5000 0.5000
Zr2 0.5000 0.0000 0.5000
Sc1 0.5000 0.5000 0.0000

(9)
CaZr2Sc: theoretical powder XRD pattern (Cu Kα X-rays), based on a structure optimized by DFT (GGA-PBE).
No peak broadening, texture or thermal motion is included.

Main lines, most intense first (5 to 70 degrees two-theta):
2θ = 32.86°, rel. 100; 2θ = 33.63°, rel. 87; 2θ = 34.17°, rel. 57; 2θ = 34.78°, rel. 54; 2θ = 16.89°, rel. 42; 2θ = 49.56°, rel. 38; 2θ = 39.44°, rel. 25; 2θ = 13.88°, rel. 22; 2θ = 60.66°, rel. 18; 2θ = 60.35°, rel. 16

Structural model:
a b c (Å): 3.2028 5.2482 6.5514
angles (deg): 90.00 103.18 90.00
Fractional coordinates of all 4 atoms:
Ca1 0.0000 0.0000 0.0000
Zr1 0.3097 0.5000 0.7033
Zr2 0.6903 0.5000 0.2967
Sc1 0.5000 0.0000 0.5000

(10)
Ca4Se: theoretical powder XRD pattern (Cu Kα X-rays), based on a structure optimized by DFT (GGA-PBE).
No peak broadening, texture or thermal motion is included.

Main lines, most intense first (5 to 70 degrees two-theta):
2θ = 31.02°, rel. 100; 2θ = 44.45°, rel. 69; 2θ = 15.37°, rel. 57; 2θ = 21.80°, rel. 50; 2θ = 34.80°, rel. 30; 2θ = 26.78°, rel. 27; 2θ = 55.19°, rel. 23; 2θ = 38.24°, rel. 23; 2θ = 47.30°, rel. 15; 2θ = 60.04°, rel. 12

Structural model:
a b c (Å): 5.7653 5.7653 5.7653
angles (deg): 90.00 90.00 90.00
Fractional coordinates of all 5 atoms:
Ca1 0.0000 0.0000 0.0000
Ca2 0.0000 0.5000 0.5000
Ca3 0.5000 0.0000 0.5000
Ca4 0.5000 0.5000 0.0000
Se1 0.5000 0.5000 0.5000

(11)
CaSe3: theoretical powder XRD pattern (Cu Kα X-rays), based on a structure optimized by DFT (GGA-PBE).
No peak broadening, texture or thermal motion is included.

Main lines, most intense first (5 to 70 degrees two-theta):
2θ = 30.44°, rel. 100; 2θ = 43.50°, rel. 36; 2θ = 43.67°, rel. 36; 2θ = 54.16°, rel. 19; 2θ = 63.34°, rel. 12; 2θ = 21.39°, rel. 8; 2θ = 53.87°, rel. 6; 2θ = 37.55°, rel. 3; 2θ = 58.93°, rel. 1; 2θ = 37.38°, rel. 1

Structural model:
a b c (Å): 5.0801 5.0801 5.0801
angles (deg): 109.37 109.37 109.37
Fractional coordinates of all 4 atoms:
Ca1 0.0000 0.0000 0.0000
Se1 0.0000 0.5000 0.5000
Se2 0.5000 0.0000 0.5000
Se3 0.5000 0.5000 0.0000

(12)
CaSi4Se: theoretical powder XRD pattern (Cu Kα X-rays), based on a structure optimized by DFT (GGA-PBE).
No peak broadening, texture or thermal motion is included.

Main lines, most intense first (5 to 70 degrees two-theta):
2θ = 39.82°, rel. 100; 2θ = 33.76°, rel. 56; 2θ = 64.48°, rel. 31; 2θ = 41.67°, rel. 20; 2θ = 60.40°, rel. 19; 2θ = 20.49°, rel. 12; 2θ = 23.70°, rel. 6; 2θ = 53.17°, rel. 3; 2θ = 54.67°, rel. 3

Structural model:
a b c (Å): 5.3094 5.3094 5.3094
angles (deg): 60.00 60.00 60.00
Fractional coordinates of all 6 atoms:
Ca1 0.0000 0.0000 0.0000
Si1 0.3747 0.3747 0.3747
Si2 0.3747 0.3747 0.8759
Si3 0.3747 0.8759 0.3747
Si4 0.8759 0.3747 0.3747
Se1 0.7500 0.7500 0.7500

Copy entry 9 word for word.
CaZr2Sc: theoretical powder XRD pattern (Cu Kα X-rays), based on a structure optimized by DFT (GGA-PBE).
No peak broadening, texture or thermal motion is included.

Main lines, most intense first (5 to 70 degrees two-theta):
2θ = 32.86°, rel. 100; 2θ = 33.63°, rel. 87; 2θ = 34.17°, rel. 57; 2θ = 34.78°, rel. 54; 2θ = 16.89°, rel. 42; 2θ = 49.56°, rel. 38; 2θ = 39.44°, rel. 25; 2θ = 13.88°, rel. 22; 2θ = 60.66°, rel. 18; 2θ = 60.35°, rel. 16

Structural model:
a b c (Å): 3.2028 5.2482 6.5514
angles (deg): 90.00 103.18 90.00
Fractional coordinates of all 4 atoms:
Ca1 0.0000 0.0000 0.0000
Zr1 0.3097 0.5000 0.7033
Zr2 0.6903 0.5000 0.2967
Sc1 0.5000 0.0000 0.5000